1.
This entry pairs a crystal structure of NaCd2Hg2Pb2 with its theoretical powder diffraction line list. Radiation: Cu Kα. Structure: the GGA-PBE geometry in Alexandria.
Intensities are scaled so that the largest is 100.

Structural model:
Cell: 4.6690 4.6690 13.0528 Å, 90.00 90.00 120.00°
Space group P-3m1 (No. 164)
Unique sites:
Na 0.0000 0.0000 0.0000
Cd 0.3333 0.6667 0.4292
Hg 0.3333 0.6667 0.6588
Pb 0.0000 0.0000 0.2415

Main lines, sorted by position (5° ≤ 2θ ≤ 70°):
(hkl)	2θ (°)	d [Å]	Rel. int.
0 0 1	6.77	13.053	100
0 0 2	13.57	6.526	25
1 0 1	23.03	3.862	32
1 0 2	25.92	3.437	36
1 0 4	35.35	2.539	54
1 1 0	38.56	2.335	45
0 1 5	41.12	2.195	28
0 1 6	47.46	1.916	11
0 2 4	53.30	1.719	17
2 1 4	67.70	1.384	17

=====

2.
This entry pairs a crystal structure of Na3Cd2Hg4Pb2 with its theoretical powder diffraction line list. Radiation: Cu Kα. Structure: the GGA-PBE geometry in Alexandria.
Intensities are scaled so that the largest is 100.

Structural model:
Cell: 5.0783 5.0783 13.7174 Å, 90.00 90.00 120.00°
Space group P-3m1 (No. 164)
Unique sites:
Na 0.0000 0.0000 0.0000
Na 0.0000 0.0000 0.2564
Cd 0.3333 0.6667 0.1254
Hg 0.3333 0.6667 0.3407
Hg 0.3333 0.6667 0.8870
Pb 0.3333 0.6667 0.5725

Main lines, sorted by position (5° ≤ 2θ ≤ 70°):
(hkl)	2θ (°)	d [Å]	Rel. int.
1 0 0	20.19	4.398	72
0 0 4	25.98	3.429	26
1 0 3	28.15	3.170	33
0 1 4	33.13	2.704	59
1 1 0	35.35	2.539	100
1 0 5	38.68	2.328	28
1 1 4	44.39	2.041	38
2 0 4	49.22	1.851	19
1 2 4	62.05	1.496	19
3 0 0	63.45	1.466	18

=====

3.
This entry pairs a crystal structure of Na2Cd2Hg4Pb with its theoretical powder diffraction line list. Radiation: Cu Kα. Structure: the GGA-PBE geometry in Alexandria.
Intensities are scaled so that the largest is 100.

Structural model:
Cell: 5.7504 6.5804 7.6261 Å, 71.10 73.01 64.73°
Space group P-1 (No. 2)
Unique sites:
Na 0.1954 0.2899 0.3269
Cd 0.3174 0.1625 0.8704
Hg 0.0861 0.8809 0.2680
Hg 0.2604 0.6370 0.9079
Pb 0.5000 0.5000 0.5000

Main lines, sorted by position (5° ≤ 2θ ≤ 70°):
(hkl)	2θ (°)	d [Å]	Rel. int.
1 1 0	18.45	4.809	100
0 1 2	26.26	3.394	53
1 -1 1	30.17	2.962	45
1 2 2	31.32	2.856	73
1 0 -2	33.22	2.697	90
2 0 1	35.09	2.557	75
0 2 -1	36.10	2.488	58
2 2 0	37.40	2.404	40
1 0 3	38.96	2.312	52
-1 2 1	41.83	2.159	39

=====

4.
This entry pairs a crystal structure of NaCdHgPb with its theoretical powder diffraction line list. Radiation: Cu Kα. Structure: the GGA-PBE geometry in Alexandria.
Intensities are scaled so that the largest is 100.

Structural model:
Cell: 5.1466 5.1439 7.9899 Å, 90.00 90.02 90.00°
Space group Cm (No. 8)
Unique sites:
Na 0.0000 0.0000 0.0000
Cd 0.0011 0.0000 0.4559
Hg 0.0007 0.5000 0.2322
Pb 0.0008 0.5000 0.7075

Main lines, sorted by position (5° ≤ 2θ ≤ 70°):
(hkl)	2θ (°)	d [Å]	Rel. int.
0 0 1	11.07	7.990	17
0 0 2	22.25	3.995	16
1 1 0	24.47	3.638	26
1 1 2	33.31	2.690	100
2 0 0	34.87	2.573	46
0 2 2	41.76	2.163	13
2 2 0	50.15	1.819	16
2 0 4	58.50	1.578	18
3 1 2	61.54	1.507	34
2 2 4	69.95	1.345	11